Entry 1:
Diffraction record for MgPb5. The powder X-ray diffraction pattern is calculated, not measured: it uses the GGA-PBE geometry in the Materials Project and copper Kα.
Kinematic intensities with the Lorentz-polarization factor, no thermal factor.

Largest 10 diffraction maxima, in order of rising 2θ, 15 to 90 degrees two-theta:
2θ (°), d (Å), I/Imax
29.37, 3.041, 24
29.87, 2.991, 12
30.99, 2.885, 40
33.30, 2.690, 100
33.75, 2.656, 47
43.22, 2.093, 18
52.71, 1.737, 17
56.62, 1.626, 23
62.42, 1.488, 21
63.24, 1.470, 16

Atomic structure:
abc: 5.7707 3.5315 17.9487
angles: 90.00 90.00 90.00
Space group Amm2 (No. 38)
One atom of each set of equivalent atoms:
Mg1 0.0000 0.0000 0.0000 (multiplicity 2)
Pb1 0.0000 0.0000 0.3396 (multiplicity 2)
Pb2 0.0000 0.0000 0.6595 (multiplicity 2)
Pb3 0.5000 0.0000 0.1095 (multiplicity 2)
Pb4 0.5000 0.0000 0.4470 (multiplicity 2)
Pb5 0.5000 0.0000 0.7772 (multiplicity 2)


Entry 2:
Diffraction record for MgPb3. The powder X-ray diffraction pattern is calculated, not measured: it uses the GGA-PBE geometry in the Materials Project and copper Kα.
Kinematic intensities with the Lorentz-polarization factor, no thermal factor.

Largest 10 diffraction maxima, in order of rising 2θ, 15 to 90 degrees two-theta:
2θ (°), d (Å), I/Imax
20.40, 4.354, 22
31.62, 2.830, 100
35.33, 2.541, 19
37.32, 2.409, 32
52.33, 1.748, 25
53.81, 1.704, 12
61.10, 1.517, 16
63.77, 1.460, 28
66.03, 1.415, 13
85.77, 1.133, 13

Atomic structure:
abc: 4.8186 4.8186 10.1629
angles: 90.00 90.00 90.00
Space group I4/mmm (No. 139)
One atom of each set of equivalent atoms:
Mg1 0.0000 0.0000 0.0000 (multiplicity 2)
Pb1 0.0000 0.0000 0.5000 (multiplicity 2)
Pb2 0.0000 0.5000 0.2500 (multiplicity 4)


Entry 3:
Diffraction record for MgPb5. The powder X-ray diffraction pattern is calculated, not measured: it uses the GGA-PBE geometry in the Materials Project and copper Kα.
Kinematic intensities with the Lorentz-polarization factor, no thermal factor.

Largest 10 diffraction maxima, in order of rising 2θ, 15 to 90 degrees two-theta:
2θ (°), d (Å), I/Imax
29.84, 2.995, 24
30.54, 2.927, 28
33.62, 2.666, 100
43.22, 2.093, 18
52.96, 1.729, 19
56.27, 1.635, 24
62.38, 1.489, 23
64.21, 1.451, 16
87.29, 1.117, 10
87.85, 1.111, 15

Atomic structure:
abc: 5.9891 5.9891 17.5602
angles: 90.00 90.00 120.00
Space group R32 (No. 155, hexagonal axes)
One atom of each set of equivalent atoms:
Mg1 0.0000 0.0000 0.0000 (multiplicity 3)
Pb1 0.0000 0.0000 0.3348 (multiplicity 6)
Pb2 0.0000 0.6647 0.5000 (multiplicity 9)


Entry 4:
Diffraction record for Mg3Pb. The powder X-ray diffraction pattern is calculated, not measured: it uses the GGA-PBE geometry in the Materials Project and copper Kα.
Kinematic intensities with the Lorentz-polarization factor, no thermal factor.

Largest 10 diffraction maxima, in order of rising 2θ, 15 to 90 degrees two-theta:
2θ (°), d (Å), I/Imax
19.01, 4.667, 34
21.66, 4.102, 100
27.62, 3.229, 28
33.75, 2.656, 85
34.89, 2.571, 31
39.46, 2.283, 28
45.46, 1.995, 31
53.68, 1.707, 19
56.37, 1.632, 20
67.97, 1.379, 32

Atomic structure:
abc: 4.5668 4.5668 9.3345
angles: 90.00 90.00 90.00
Space group I4/mmm (No. 139)
One atom of each set of equivalent atoms:
Mg1 0.0000 0.0000 0.0000 (multiplicity 2)
Mg2 0.0000 0.5000 0.2500 (multiplicity 4)
Pb1 0.0000 0.0000 0.5000 (multiplicity 2)


Entry 5:
Diffraction record for Mg3Pb. The powder X-ray diffraction pattern is calculated, not measured: it uses the GGA-PBE geometry in the Materials Project and copper Kα.
Kinematic intensities with the Lorentz-polarization factor, no thermal factor.

Largest 10 diffraction maxima, in order of rising 2θ, 15 to 90 degrees two-theta:
2θ (°), d (Å), I/Imax
15.71, 5.641, 37
23.09, 3.852, 100
27.39, 3.257, 44
31.73, 2.820, 19
34.00, 2.637, 21
36.12, 2.487, 81
44.20, 2.049, 25
45.91, 1.976, 33
62.24, 1.492, 17
67.62, 1.385, 17

Atomic structure:
abc: 6.5132 6.5132 5.2730
angles: 90.00 90.00 120.00
Space group P6_3/mmc (No. 194)
One atom of each set of equivalent atoms:
Mg1 0.1630 0.3261 0.2500 (multiplicity 6)
Pb1 0.3333 0.6667 0.7500 (multiplicity 2)


Entry 6:
Diffraction record for MgPb3. The powder X-ray diffraction pattern is calculated, not measured: it uses the GGA-PBE geometry in the Materials Project and copper Kα.
Kinematic intensities with the Lorentz-polarization factor, no thermal factor.

Largest 10 diffraction maxima, in order of rising 2θ, 15 to 90 degrees two-theta:
2θ (°), d (Å), I/Imax
21.12, 4.207, 27
26.73, 3.335, 10
29.09, 3.070, 34
30.96, 2.888, 22
34.31, 2.614, 100
43.00, 2.104, 18
55.02, 1.669, 44
63.48, 1.465, 23
66.51, 1.406, 15
86.07, 1.130, 19

Atomic structure:
abc: 6.6705 6.6705 6.1393
angles: 90.00 90.00 120.00
Space group P6_3/mmc (No. 194)
One atom of each set of equivalent atoms:
Mg1 0.3333 0.6667 0.2500 (multiplicity 2)
Pb1 0.1683 0.3367 0.7500 (multiplicity 6)